[1]
Structure and simulated powder XRD pattern of Sm4Mg3Co2 (DFT lattice parameters and positions (GGA-PBE); copper Kα).
Neutral-atom scattering factors, no anomalous dispersion.

Most intense lines, 2θ = 10–90°, sorted by position:
| index | 2θ (°) | I (rel.) |
| --- | --- | --- |
| 0 0 1 | 11.38 | 373 |
| 1 0 -1 | 13.72 | 541 |
| 0 0 2 | 22.87 | 450 |
| 0 1 0 | 23.40 | 479 |
| 2 0 -1 | 23.69 | 485 |
| 2 0 1 | 30.96 | 422 |
| 0 1 2 | 32.95 | 896 |
| 2 1 -1 | 33.54 | 1000 |
| 2 1 -2 | 36.52 | 279 |
| 2 1 1 | 39.17 | 563 |
| 1 1 -3 | 40.44 | 323 |
| 0 2 0 | 47.86 | 291 |

Cell: 7.5719 3.8013 8.2664 Å, 90.00 109.83 90.00°
Space group P2/m (No. 10)
Unique sites:
Sm 0.0965 0.0000 0.2256 [2 per cell]
Sm 0.3976 0.0000 0.6812 [2 per cell]
Mg 0.0000 0.5000 0.5000 [1 per cell]
Mg 0.2924 0.5000 0.0016 [2 per cell]
Co 0.3516 0.5000 0.3942 [2 per cell]

=====

[2]
Structure and simulated powder XRD pattern of Mg2Ti3NiS8 (DFT lattice parameters and positions (GGA-PBE); copper Kα).
Neutral-atom scattering factors, no anomalous dispersion.

Most intense lines, 2θ = 10–90°, sorted by position:
| index | 2θ (°) | I (rel.) |
| --- | --- | --- |
| 1 1 0 | 14.85 | 594 |
| 2 0 1 | 28.26 | 182 |
| 3 1 0 | 28.55 | 402 |
| 4 0 -1 | 28.69 | 114 |
| 4 0 0 | 34.56 | 1000 |
| 5 1 0 | 45.42 | 248 |
| 6 0 -1 | 45.61 | 141 |
| 2 2 2 | 49.32 | 505 |
| 0 4 0 | 50.03 | 464 |
| 4 4 0 | 62.23 | 133 |
| 8 0 0 | 72.89 | 130 |
| 6 2 2 | 82.68 | 114 |

Cell: 12.6247 7.2950 7.3901 Å, 90.00 124.68 90.00°
Space group C2/m (No. 12)
Unique sites:
Mg 0.1225 0.0000 0.3671 [4 per cell]
Ti 0.0000 0.5000 0.0000 [2 per cell]
Ti 0.2500 0.2500 0.0000 [4 per cell]
Ni 0.0000 0.5000 0.5000 [2 per cell]
S 0.0121 0.2764 0.7599 [8 per cell]
S 0.2357 0.5000 0.7600 [4 per cell]
S 0.2419 0.5000 0.2257 [4 per cell]

=====

[3]
Structure and simulated powder XRD pattern of BaH2O2 (DFT lattice parameters and positions (GGA-PBE); copper Kα).
Neutral-atom scattering factors, no anomalous dispersion.

Most intense lines, 2θ = 10–90°, sorted by position:
| index | 2θ (°) | I (rel.) |
| --- | --- | --- |
| 1 1 0 | 18.42 | 359 |
| 0 1 2 | 22.39 | 482 |
| 1 1 1 | 24.45 | 764 |
| 1 2 -1 | 25.05 | 1000 |
| 2 0 -2 | 25.52 | 819 |
| 1 2 0 | 26.29 | 400 |
| 1 1 -3 | 27.11 | 873 |
| 1 0 2 | 30.64 | 383 |
| 0 3 1 | 34.02 | 431 |
| 2 1 -4 | 36.21 | 374 |
| 0 3 2 | 38.26 | 449 |
| 3 2 -3 | 44.68 | 353 |

Cell: 7.0447 8.2626 10.7627 Å, 90.00 122.71 90.00°
Space group P2_1/c (No. 14)
Unique sites:
Ba 0.0342 0.0397 0.3288 [4 per cell]
Ba 0.3320 0.6338 0.5956 [4 per cell]
H 0.1805 0.1861 0.0752 [4 per cell]
H 0.2392 0.1992 0.8239 [4 per cell]
H 0.4272 0.0165 0.6166 [4 per cell]
H 0.4500 0.7480 0.8980 [4 per cell]
O 0.1187 0.1580 0.1347 [4 per cell]
O 0.2720 0.1442 0.9150 [4 per cell]
O 0.3016 0.6972 0.8347 [4 per cell]
O 0.3057 0.5314 0.1231 [4 per cell]

=====

[4]
Structure and simulated powder XRD pattern of RbMg6Mo (DFT lattice parameters and positions (GGA-PBE); copper Kα).
Neutral-atom scattering factors, no anomalous dispersion.

Most intense lines, 2θ = 10–90°, sorted by position:
| index | 2θ (°) | I (rel.) |
| --- | --- | --- |
| 1 0 0 | 15.83 | 262 |
| 1 0 1 | 23.51 | 476 |
| 1 1 0 | 27.60 | 237 |
| 2 0 0 | 31.98 | 244 |
| 0 0 2 | 34.93 | 260 |
| 2 0 1 | 36.56 | 1000 |
| 2 1 1 | 46.42 | 192 |
| 2 0 2 | 48.08 | 150 |
| 2 2 0 | 56.99 | 166 |
| 2 0 3 | 63.71 | 186 |
| 2 2 2 | 68.62 | 187 |
| 4 0 1 | 69.64 | 132 |

Cell: 6.4633 6.4633 5.1369 Å, 90.00 90.00 120.00°
Space group P-6m2 (No. 187)
Unique sites:
Rb 0.0000 0.0000 0.0000 [1 per cell]
Mg 0.0362 0.5181 0.0000 [3 per cell]
Mg 0.3506 0.1753 0.5000 [3 per cell]
Mo 0.3333 0.6667 0.5000 [1 per cell]